For YMgCo2Ge2, a cell relaxed with GGA-PBE gives the simulated powder X-ray diffraction pattern in this record (Cu Kα (λ = 1.5418 Å)).
Intensities are scaled so that the largest is 100.

Peak list (10 most intense, 5 to 70 degrees two-theta, in order of rising 2θ)
h k l, two_theta, intensity
0 0 1, 13.35, 6
0 1 1, 28.36, 67
0 1 2, 36.97, 97
0 0 3, 40.81, 16
1 1 0, 43.86, 100
0 1 3, 48.40, 27
2 0 1, 53.05, 11
2 0 2, 58.66, 24
1 1 3, 61.45, 27
2 0 3, 67.36, 10

a b c (Å): 4.1287 4.1287 6.6330
angles (deg): 90.00 90.00 120.00
Positions (direct):
1 Y 0.0000 0.0000 0.0000
2 Mg 0.0000 0.0000 0.5000
3 Co 0.3333 0.6667 0.6422
4 Co 0.6667 0.3333 0.3578
5 Ge 0.3333 0.6667 0.2739
6 Ge 0.6667 0.3333 0.7261